No. 1
For Tb7Y4Ho2, a cell relaxed with PBE gives the computed X-ray diffraction stick pattern in this record (Cu Kα, 1.54184 Å).

Largest 10 diffraction maxima, sorted by position, 2θ from 10° to 90°:
d 3.288, 27.1°, I 25, hkl 0 0 4
d 2.968, 30.1°, I 53, hkl 2 -1 1
d 2.765, 32.4°, I 100, hkl 2 -1 2
d 2.630, 34.1°, I 18, hkl 0 0 5
d 2.502, 35.9°, I 46, hkl 1 1 3
d 2.235, 40.4°, I 15, hkl 1 1 4
d 1.779, 51.4°, I 21, hkl 2 -1 6
d 1.759, 52.0°, I 28, hkl 3 0 0
d 1.551, 59.6°, I 15, hkl 3 0 4
d 1.462, 63.6°, I 16, hkl 3 0 5

Structural model:
a b c (Å): 6.0938 6.0938 13.1500
angles (deg): 90.00 90.00 120.00
Space group P-31m (No. 162)
Inequivalent atoms, fractional coordinates:
Tb 0.0000 0.0000 0.0000 [1 per cell]
Tb 0.0000 0.3631 0.2167 [6 per cell]
Y 0.0000 0.0000 0.3925 [2 per cell]
Y 0.3333 0.6667 0.5000 [2 per cell]
Ho 0.3333 0.6667 0.0000 [2 per cell]

***

No. 2
For Tb12Y5Ho, a cell relaxed with PBE gives the computed X-ray diffraction stick pattern in this record (Cu Kα, 1.54184 Å).

Largest 10 diffraction maxima, sorted by position, 2θ from 10° to 90°:
d 7.546, 11.7°, I 4, hkl 1 0 1
d 2.908, 30.7°, I 100, hkl 3 1 0
d 2.518, 35.7°, I 50, hkl 3 0 3
d 1.781, 51.3°, I 36, hkl 6 0 0
d 1.519, 61.0°, I 28, hkl 3 3 0
d 1.517, 61.1°, I 14, hkl 6 1 3
d 1.454, 64.0°, I 12, hkl 6 2 0
d 1.156, 83.7°, I 9, hkl 0 1 9
d 1.155, 83.8°, I 9, hkl 9 1 0
d 1.126, 86.4°, I 8, hkl 3 4 3

Structural model:
a b c (Å): 10.676 5.037 10.689
angles (deg): 90.00 90.14 90.00
Space group P2/m (No. 10)
Inequivalent atoms, fractional coordinates:
Tb 0.001 0.000 0.333 [2 per cell]
Tb 0.166 0.500 0.499 [2 per cell]
Tb 0.167 0.500 0.167 [2 per cell]
Tb 0.333 0.000 0.001 [2 per cell]
Tb 0.333 0.000 0.333 [2 per cell]
Tb 0.499 0.500 0.166 [2 per cell]
Y 0.166 0.500 0.834 [2 per cell]
Y 0.333 0.000 0.667 [2 per cell]
Y 0.500 0.500 0.500 [1 per cell]
Ho 0.000 0.000 0.000 [1 per cell]